Record 1
# Sr4MgNb3O12
Simulated XRD peak list, Cu Kα X-rays. Input: a DFT-relaxed cell (PBE, Alexandria).
Lines closer than 0.1° are merged.

Crystal structure
```
Sr4MgNb3O12
1.0
-4.0704 4.0704 4.0704
4.0704 -4.0704 4.0704
4.0704 4.0704 -4.0704
Sr Mg Nb O
4 1 3 12
Cartesian
2.0352 2.0352 -2.0352 Sr
2.0352 -2.0352 2.0352 Sr
-2.0352 2.0352 2.0352 Sr
2.0352 2.0352 2.0352 Sr
0.0000 0.0000 0.0000 Mg
4.0704 0.0000 0.0000 Nb
0.0000 4.0704 0.0000 Nb
0.0000 0.0000 4.0704 Nb
2.0877 0.0000 0.0000 O
6.0531 0.0000 0.0000 O
4.0704 2.0352 0.0000 O
4.0704 0.0000 2.0352 O
0.0000 2.0877 0.0000 O
0.0000 0.0000 2.0877 O
2.0352 4.0704 0.0000 O
2.0352 0.0000 4.0704 O
0.0000 6.0531 0.0000 O
0.0000 0.0000 6.0531 O
0.0000 4.0704 2.0352 O
0.0000 2.0352 4.0704 O
```

Main lines, in order of rising 2θ (2θ from 5° to 70°):
two_theta	d (Å)	intensity
15.4	5.756	8
26.8	3.323	4
31.1	2.878	100
34.9	2.574	2
38.3	2.350	6
41.5	2.176	2
44.5	2.035	37
55.3	1.662	39
57.7	1.597	1
64.8	1.439	22

***

Record 2
# AcCu2OsO8
Simulated XRD peak list, Cu Kα X-rays. Input: a DFT-relaxed cell (PBE, Alexandria).
Lines closer than 0.1° are merged.

Crystal structure
```
AcCu2OsO8
1.0
-3.4910 3.4910 3.2849
3.4910 -3.4910 3.2849
3.4910 3.4910 -3.2849
Ac Cu Os O
1 2 1 8
Cartesian
0.0000 0.0000 0.0000 Ac
3.4910 0.0000 1.6425 Cu
0.0000 0.0000 3.2849 Cu
0.0000 3.4910 1.6425 Os
2.4115 0.0000 0.1407 O
4.5704 0.0000 0.1407 O
3.4910 1.8944 -1.2075 O
3.4910 -1.0795 3.1442 O
0.0000 1.5965 2.0774 O
3.4910 1.0795 3.1442 O
1.8944 3.4910 1.2075 O
1.5965 0.0000 4.4924 O
```

Main lines, in order of rising 2θ (2θ from 5° to 70°):
two_theta	d (Å)	intensity
18.5	4.785	53
25.5	3.491	100
31.7	2.820	17
32.7	2.735	82
36.4	2.469	26
49.8	1.832	64
52.4	1.745	16
62.5	1.486	16
63.2	1.471	18
68.7	1.367	17

***

Record 3
# V2FePt3
Simulated XRD peak list, Cu Kα X-rays. Input: a DFT-relaxed cell (PBE, Alexandria).
Lines closer than 0.1° are merged.

Crystal structure
```
V2FePt3
1.0
1.9277 -5.7921 0.0000
1.9277 5.7921 0.0000
0.0000 0.0000 3.8440
V Fe Pt
2 1 3
Cartesian
1.9277 3.9308 0.0000 V
1.9277 -3.9308 0.0000 V
1.9277 0.0000 0.0000 Fe
0.0000 0.0000 1.9220 Pt
1.9277 1.9258 1.9220 Pt
1.9277 -1.9258 1.9220 Pt
```

Main lines, in order of rising 2θ (2θ from 5° to 70°):
two_theta	d (Å)	intensity
23.1	3.844	33
32.8	2.728	28
40.5	2.225	100
47.1	1.929	32
47.3	1.922	16
53.1	1.724	16
58.8	1.571	12
68.8	1.364	10
69.0	1.362	20

***

Record 4
# PmY5Sc2
Simulated XRD peak list, Cu Kα X-rays. Input: a DFT-relaxed cell (PBE, Alexandria).
Lines closer than 0.1° are merged.

Crystal structure
```
PmY5Sc2
1.0
-4.3741 4.3741 6.4258
4.3741 -4.3741 6.4258
4.3741 4.3741 -6.4258
Pm Y Sc
2 10 4
Cartesian
0.0000 0.0000 3.2129 Pm
0.0000 0.0000 9.6386 Pm
0.0000 0.0000 0.0000 Y
3.0380 -1.3362 2.0117 Y
5.7103 -1.3362 4.4140 Y
5.7103 1.3362 2.0117 Y
3.0380 1.3362 4.4140 Y
0.0000 0.0000 6.4258 Y
1.3362 3.0380 2.0117 Y
-1.3362 3.0380 4.4140 Y
-1.3362 5.7103 2.0117 Y
1.3362 5.7103 4.4140 Y
3.1554 1.2187 0.0000 Sc
3.1554 -1.2187 6.4258 Sc
1.2187 5.5928 0.0000 Sc
1.2187 3.1554 6.4258 Sc
```

Main lines, in order of rising 2θ (2θ from 5° to 70°):
two_theta	d (Å)	intensity
23.8	3.743	13
28.9	3.093	20
31.0	2.889	100
31.4	2.851	33
32.4	2.766	90
34.6	2.589	30
46.4	1.956	16
50.5	1.808	13
52.8	1.735	16
61.0	1.519	20

***

Record 5
# BiCl2F8
Simulated XRD peak list, Cu Kα X-rays. Input: a DFT-relaxed cell (PBE, Alexandria).
Lines closer than 0.1° are merged.

Crystal structure
```
BiCl2F8
1.0
5.7309 0.0000 0.0000
-2.1222 5.5515 0.0000
-1.4095 -1.0579 6.6001
Bi Cl F
1 2 8
Cartesian
0.0000 0.0000 0.0000 Bi
-0.2202 3.7613 2.6738 Cl
2.4195 0.7323 3.9264 Cl
-0.6834 0.5796 1.8247 F
-0.6798 0.8022 6.2868 F
-0.3019 4.9453 0.9078 F
-0.1122 2.8197 4.0270 F
2.3115 1.6739 2.5732 F
2.5012 -0.4518 5.6924 F
2.8791 3.6914 0.3133 F
2.8827 3.9139 4.7754 F
```

Main lines, in order of rising 2θ (2θ from 5° to 70°):
two_theta	d (Å)	intensity
13.4	6.600	76
16.2	5.482	86
17.1	5.185	42
19.0	4.682	100
19.3	4.589	54
21.9	4.054	64
22.7	3.923	50
23.9	3.716	55
27.8	3.208	61
32.1	2.790	42